Computed powder diffraction line list of Cs2Pa3CrO12 for Cu Ka, from the PBE+U geometry in Alexandria.

Crystal structure
```
data_Cs2Pa3CrO12
_chemical_formula_sum 'Cs6 Pa9 Cr3 O36'
_symmetry_space_group_name_H-M 'R -3 m'
_symmetry_Int_Tables_number 166
_symmetry_space_group_name_Hall '-R 3 2"'
_cell_length_a 8.0055
_cell_length_b 8.0055
_cell_length_c 18.5387
_cell_angle_alpha 90.00
_cell_angle_beta 90.00
_cell_angle_gamma 120.00
loop_
_atom_site_label
_atom_site_type_symbol
_atom_site_fract_x
_atom_site_fract_y
_atom_site_fract_z
Cs1 Cs 0.0000 0.0000 0.1252
Pa1 Pa 0.0000 0.5000 0.0000
Cr1 Cr 0.0000 0.0000 0.5000
O1 O 0.0775 0.5387 0.3623
O2 O 0.1090 0.2180 0.4438
```

Main lines, low angle first (10 to 90 degrees two-theta):
h k l  d_spacing  2θ (°)  I/Imax
0 0 3  6.180  14.33  48
1 0 4  3.853  23.08  33
0 2 1  3.407  26.15  100
1 1 3  3.360  26.53  73
0 1 5  3.270  27.28  35
2 0 2  3.247  27.47  78
2 2 0  2.001  45.31  39
2 0 8  1.927  47.18  39